Record 1
Sm4InTe2Se: theoretical X-ray powder pattern (Cu Kα), based on a DFT-relaxed cell (PBE, Alexandria).
Kinematic intensities with the Lorentz-polarization factor, no thermal factor.

Top 10 peaks for 2θ = 10–90°, in order of rising 2θ:
| two_theta | Rel. int. |
| --- | --- |
| 28.7 | 100 |
| 40.6 | 13 |
| 40.9 | 25 |
| 41.2 | 25 |
| 41.7 | 12 |
| 50.7 | 7 |
| 51.4 | 13 |
| 59.6 | 8 |
| 67.1 | 11 |
| 67.6 | 11 |

Atomic structure:
Lattice parameters (Å, degrees): 7.6093 4.3341 7.6884 90.00 108.86 90.00
Atoms (fractional coordinates):
Sm 0.2399 0.0000 0.2302
Sm 0.2493 0.5000 0.7596
Sm 0.7507 0.5000 0.2404
Sm 0.7601 0.0000 0.7698
In 0.5000 0.0000 0.0000
Te 0.0000 0.0000 0.5000
Te 0.5000 0.5000 0.5000
Se 0.0000 0.5000 0.0000


Record 2
Dy2Ni2Hg3: theoretical X-ray powder pattern (Cu Kα), based on a DFT-relaxed cell (PBE, Alexandria).
Kinematic intensities with the Lorentz-polarization factor, no thermal factor.

Top 10 peaks for 2θ = 10–90°, in order of rising 2θ:
| two_theta | Rel. int. |
| --- | --- |
| 31.5 | 43 |
| 33.3 | 100 |
| 36.0 | 69 |
| 38.5 | 39 |
| 45.5 | 22 |
| 49.2 | 18 |
| 59.4 | 33 |
| 59.6 | 14 |
| 60.8 | 16 |
| 64.2 | 18 |

Atomic structure:
Lattice parameters (Å, degrees): 3.9867 20.2390 3.7007 90.00 90.00 90.00
Atoms (fractional coordinates):
Dy 0.0000 0.1722 0.0000
Dy 0.0000 0.8278 0.0000
Dy 0.5000 0.3278 0.0000
Dy 0.5000 0.6722 0.0000
Ni 0.0000 0.2840 0.5000
Ni 0.0000 0.7160 0.5000
Ni 0.5000 0.2160 0.5000
Ni 0.5000 0.7840 0.5000
Hg 0.0000 0.0000 0.0000
Hg 0.0000 0.4187 0.5000
Hg 0.0000 0.5813 0.5000
Hg 0.5000 0.0813 0.5000
Hg 0.5000 0.5000 0.0000
Hg 0.5000 0.9187 0.5000


Record 3
PrPuTl2O8: theoretical X-ray powder pattern (Cu Kα), based on a DFT-relaxed cell (PBE, Alexandria).
Kinematic intensities with the Lorentz-polarization factor, no thermal factor.

Top 10 peaks for 2θ = 10–90°, in order of rising 2θ:
| two_theta | Rel. int. |
| --- | --- |
| 23.3 | 100 |
| 24.2 | 87 |
| 30.1 | 88 |
| 31.3 | 75 |
| 33.9 | 56 |
| 45.5 | 36 |
| 45.7 | 34 |
| 46.3 | 32 |
| 48.1 | 29 |
| 57.6 | 20 |

Atomic structure:
Lattice parameters (Å, degrees): 5.2968 5.2968 6.9883 92.17 92.17 92.08
Atoms (fractional coordinates):
Pr 0.0000 0.0000 0.0000
Pu 0.0000 0.0000 0.5000
Tl 0.4923 0.4923 0.7486
Tl 0.5077 0.5077 0.2514
O 0.1699 0.8255 0.2916
O 0.1745 0.8301 0.7084
O 0.2962 0.2962 0.5090
O 0.3133 0.3133 0.0161
O 0.6867 0.6867 0.9839
O 0.7038 0.7038 0.4910
O 0.8255 0.1699 0.2916
O 0.8301 0.1745 0.7084